(1)
V3CoRh2: theoretical X-ray diffraction stick pattern (copper Kα), based on a crystal structure in Alexandria, relaxed with GGA-PBE.
Lines closer than 0.1° are merged.

```
V3CoRh2
1.0
1.9142 -5.7035 0.0000
1.9142 5.7035 0.0000
0.0000 0.0000 7.1976
V Co Rh
6 2 4
Direct
0.0000 0.0000 0.2451
0.0000 0.0000 0.7549
0.3292 0.6708 0.2384
0.3292 0.6708 0.7616
0.6708 0.3292 0.2384
0.6708 0.3292 0.7616
0.1696 0.8304 0.0000
0.8304 0.1696 0.0000
0.1667 0.8333 0.5000
0.5000 0.5000 0.0000
0.5000 0.5000 0.5000
0.8333 0.1667 0.5000
```

Largest 10 diffraction maxima, most intense first, 2θ = 15–90°:
| 2theta | intensity |
| --- | --- |
| 41.8 | 1000 |
| 47.5 | 171 |
| 47.8 | 166 |
| 50.7 | 137 |
| 84.5 | 117 |
| 85.0 | 114 |
| 69.7 | 101 |
| 89.4 | 99 |
| 72.0 | 90 |
| 72.3 | 88 |

(2)
NdPu2Ru9: theoretical X-ray diffraction stick pattern (copper Kα), based on a crystal structure in Alexandria, relaxed with GGA-PBE.
Lines closer than 0.1° are merged.

```
NdPu2Ru9
1.0
2.6209 1.5132 8.8211
-2.6209 1.5132 8.8211
0.0000 -3.0264 8.8211
Nd Pu Ru
1 2 9
Direct
0.0000 0.0000 0.0000
0.1409 0.1409 0.1409
0.8591 0.8591 0.8591
0.0777 0.5855 0.5855
0.3361 0.3361 0.3361
0.4145 0.4145 0.9223
0.4145 0.9223 0.4145
0.5000 0.5000 0.5000
0.5855 0.0777 0.5855
0.5855 0.5855 0.0777
0.6639 0.6639 0.6639
0.9223 0.4145 0.4145
```

Largest 10 diffraction maxima, most intense first, 2θ = 15–90°:
| 2theta | intensity |
| --- | --- |
| 40.0 | 1000 |
| 34.2 | 462 |
| 30.8 | 368 |
| 33.5 | 360 |
| 39.9 | 350 |
| 72.1 | 243 |
| 65.2 | 236 |
| 43.4 | 233 |
| 42.5 | 203 |
| 42.1 | 185 |

> Number 2 is which compound?

NdPu2Ru9